No. 1
This entry pairs a crystal structure of Hf3InAs5 with its calculated PXRD pattern. Radiation: Cu Ka. Structure: a GGA-PBE-relaxed structure.
Neutral-atom scattering factors, no anomalous dispersion.

Cell and atoms:
Lattice parameters (Å, degrees): 6.1701 6.1701 6.4038 90.00 90.00 120.00
Space group P6/mmm (No. 191)
Asymmetric unit:
Hf 0.0000 0.5000 0.0000 x3
In 0.0000 0.0000 0.5000 x1
As 0.0000 0.0000 0.0000 x1
As 0.3333 0.6667 0.3080 x4

The 10 most intense peaks (10 to 80 degrees two-theta), low angle first:
d [Å], 2theta, intensity, index
6.404, 13.8, 59, 0 0 1
4.103, 21.7, 23, 1 0 1
3.202, 27.9, 20, 0 0 2
3.085, 28.9, 25, 1 1 0
2.779, 32.2, 36, 1 1 1
2.672, 33.5, 49, 2 0 0
2.466, 36.4, 72, 2 0 1
2.051, 44.1, 100, 2 0 2
1.543, 60.0, 30, 2 2 0
1.373, 68.3, 19, 2 0 4

***

No. 2
This entry pairs a crystal structure of HfInAsO with its calculated PXRD pattern. Radiation: Cu Ka. Structure: a GGA-PBE-relaxed structure.
Neutral-atom scattering factors, no anomalous dispersion.

Cell and atoms:
Lattice parameters (Å, degrees): 3.980 8.657 6.054 90.00 90.00 90.00
Space group Pmc2_1 (No. 26)
Asymmetric unit:
Hf 0.000 0.138 0.000 x2
In 0.500 0.338 0.454 x2
As 0.500 0.329 0.944 x2
O 0.000 0.012 0.265 x2

The 10 most intense peaks (10 to 80 degrees two-theta), low angle first:
d [Å], 2theta, intensity, index
4.962, 17.9, 42, 0 1 1
3.616, 24.6, 100, 1 1 0
3.521, 25.3, 79, 0 2 1
3.104, 28.8, 70, 1 1 1
3.027, 29.5, 68, 0 0 2
2.336, 38.5, 63, 1 3 0
2.321, 38.8, 40, 1 1 2
1.849, 49.3, 73, 1 3 2
1.761, 51.9, 31, 0 4 2
1.663, 55.2, 35, 2 0 2

***

No. 3
This entry pairs a crystal structure of HfInAsO with its calculated PXRD pattern. Radiation: Cu Ka. Structure: a GGA-PBE-relaxed structure.
Neutral-atom scattering factors, no anomalous dispersion.

Cell and atoms:
Lattice parameters (Å, degrees): 3.833 8.356 5.458 90.00 90.00 90.00
Space group Pmc2_1 (No. 26)
Asymmetric unit:
Hf 0.000 0.136 0.000 x2
In 0.500 0.411 0.538 x2
As 0.000 0.181 0.497 x2
O 0.500 0.200 0.998 x2

The 10 most intense peaks (10 to 80 degrees two-theta), low angle first:
d [Å], 2theta, intensity, index
3.484, 25.6, 100, 1 1 0
3.318, 26.9, 79, 0 2 1
2.937, 30.4, 25, 1 1 1
2.729, 32.8, 64, 0 0 2
2.253, 40.0, 26, 1 3 0
2.148, 42.1, 50, 1 1 2
2.083, 43.4, 48, 1 3 1
1.916, 47.4, 24, 2 0 0
1.738, 52.7, 24, 1 3 2
1.659, 55.4, 33, 0 4 2

***

No. 4
This entry pairs a crystal structure of LaHfAsO with its calculated PXRD pattern. Radiation: Cu Ka. Structure: a GGA-PBE-relaxed structure.
Neutral-atom scattering factors, no anomalous dispersion.

Cell and atoms:
Lattice parameters (Å, degrees): 4.233 5.141 7.307 90.00 90.00 90.00
Space group Pmc2_1 (No. 26)
Asymmetric unit:
La 0.000 0.155 0.000 x2
Hf 0.500 0.358 0.354 x2
As 0.500 0.156 0.704 x2
O 0.000 0.346 0.347 x2

The 10 most intense peaks (10 to 80 degrees two-theta), low angle first:
d [Å], 2theta, intensity, index
3.268, 27.3, 20, 1 1 0
2.982, 30.0, 100, 1 1 1
2.766, 32.4, 51, 1 0 2
2.436, 36.9, 23, 1 1 2
2.425, 37.1, 48, 0 2 1
2.201, 41.0, 38, 0 1 3
2.116, 42.7, 28, 2 0 0
2.104, 43.0, 27, 1 2 1
1.595, 57.8, 29, 2 2 1
1.526, 60.7, 24, 2 1 3

***

No. 5
This entry pairs a crystal structure of LiHfAsO with its calculated PXRD pattern. Radiation: Cu Ka. Structure: a GGA-PBE-relaxed structure.
Neutral-atom scattering factors, no anomalous dispersion.

Cell and atoms:
Lattice parameters (Å, degrees): 3.589 6.261 6.161 90.00 90.00 90.00
Space group Pmc2_1 (No. 26)
Asymmetric unit:
Li 0.000 0.142 0.000 x2
Hf 0.500 0.492 0.726 x2
As 0.000 0.269 0.472 x2
O 0.500 0.283 0.981 x2

The 10 most intense peaks (10 to 80 degrees two-theta), low angle first:
d [Å], 2theta, intensity, index
6.261, 14.1, 100, 0 1 0
3.114, 28.7, 33, 1 1 0
2.779, 32.2, 14, 1 1 1
2.764, 32.4, 22, 0 1 2
2.359, 38.1, 29, 1 2 0
2.338, 38.5, 30, 1 0 2
2.196, 41.1, 30, 0 2 2
2.190, 41.2, 27, 1 1 2
1.727, 53.0, 15, 0 3 2
1.389, 67.4, 14, 2 2 2

***

No. 6
This entry pairs a crystal structure of LiHfAsO with its calculated PXRD pattern. Radiation: Cu Ka. Structure: a GGA-PBE-relaxed structure.
Neutral-atom scattering factors, no anomalous dispersion.

Cell and atoms:
Lattice parameters (Å, degrees): 3.605 3.605 8.766 90.00 90.00 90.00
Space group P4/nmm (No. 129, origin choice 2)
Asymmetric unit:
Li 0.250 0.750 0.000 x2
Hf 0.250 0.250 0.362 x2
As 0.250 0.250 0.798 x2
O 0.250 0.750 0.500 x2

The 10 most intense peaks (10 to 80 degrees two-theta), low angle first:
d [Å], 2theta, intensity, index
8.766, 10.1, 81, 0 0 1
3.334, 26.7, 12, 1 0 1
2.784, 32.1, 100, 1 0 2
2.549, 35.2, 45, 1 1 0
2.270, 39.7, 23, 1 0 3
2.204, 41.0, 14, 1 1 2
1.873, 48.6, 11, 1 0 4
1.803, 50.6, 22, 2 0 0
1.662, 55.3, 12, 1 1 4
1.513, 61.3, 32, 2 1 2

***

No. 7
This entry pairs a crystal structure of Hf4AsN3 with its calculated PXRD pattern. Radiation: Cu Ka. Structure: a GGA-PBE-relaxed structure.
Neutral-atom scattering factors, no anomalous dispersion.

Cell and atoms:
Lattice parameters (Å, degrees): 3.2800 3.2800 22.8678 90.00 90.00 120.00
Space group P6_3/mmc (No. 194)
Asymmetric unit:
Hf 0.0000 0.0000 0.1662 x4
Hf 0.3333 0.6667 0.0582 x4
As 0.3333 0.6667 0.2500 x2
N 0.0000 0.0000 0.0000 x2
N 0.3333 0.6667 0.6110 x4

The 10 most intense peaks (10 to 80 degrees two-theta), low angle first:
d [Å], 2theta, intensity, index
2.858, 31.3, 19, 0 0 8
2.757, 32.5, 42, 1 0 2
2.662, 33.7, 20, 1 0 3
2.544, 35.3, 23, 1 0 4
2.413, 37.3, 61, 1 0 5
2.287, 39.4, 18, 0 0 10
2.278, 39.6, 100, 1 0 6
1.640, 56.1, 46, 1 1 0
1.583, 58.3, 18, 1 0 12
1.333, 70.7, 21, 1 1 10

***

No. 8
This entry pairs a crystal structure of Hf4NiAsN2 with its calculated PXRD pattern. Radiation: Cu Ka. Structure: a GGA-PBE-relaxed structure.
Neutral-atom scattering factors, no anomalous dispersion.

Cell and atoms:
Lattice parameters (Å, degrees): 3.2893 3.2893 12.6653 90.00 90.00 120.00
Space group P-6m2 (No. 187)
Asymmetric unit:
Hf 0.0000 0.0000 0.1492 x2
Hf 0.3333 0.6667 0.3484 x2
Ni 0.3333 0.6667 0.0000 x1
As 0.0000 0.0000 0.5000 x1
N 0.6667 0.3333 0.2499 x2

The 10 most intense peaks (10 to 80 degrees two-theta), low angle first:
d [Å], 2theta, intensity, index
3.166, 28.2, 11, 0 0 4
2.849, 31.4, 26, 1 0 0
2.779, 32.2, 17, 1 0 1
2.361, 38.1, 100, 1 0 3
2.111, 42.8, 12, 0 0 6
1.696, 54.1, 11, 1 0 6
1.645, 55.9, 25, 1 1 0
1.527, 60.6, 11, 1 0 7
1.350, 69.7, 17, 2 0 3
1.297, 72.9, 15, 1 1 6